1.
For CaCo8O16, a PBE+U-relaxed structure gives the theoretical powder diffraction line list in this record (CuKα).
Peak positions follow from Bragg's law for the DFT cell and can differ from measured ones.

The 10 most intense peaks (10° ≤ 2θ ≤ 90°), sorted by position:
Position (°2θ), I/Imax
17.45, 100
35.32, 6
35.49, 7
37.02, 8
37.19, 7
39.74, 9
39.86, 8
45.90, 6
46.01, 6
59.94, 8

Cell and atoms:
```
CaCo8O16
1.0
2.9138 0.0000 0.0000
1.4523 2.5415 0.0000
0.2591 0.1858 40.6650
Ca Co O
1 8 16
Direct
0.0000 0.0000 0.0000 Ca
0.6690 0.6573 0.0696 Co
0.6718 0.6835 0.9294 Co
0.6754 0.3422 0.5626 Co
0.6762 0.9783 0.4369 Co
0.6868 0.5639 0.3121 Co
0.6881 0.7432 0.6868 Co
0.6941 0.0822 0.8116 Co
0.6943 0.2188 0.1876 Co
0.0016 0.9893 0.0899 O
0.0072 0.6747 0.5848 O
0.0104 0.3138 0.4146 O
0.0186 0.8964 0.3343 O
0.0227 0.0781 0.6646 O
0.0288 0.5535 0.1653 O
0.0441 0.3775 0.8352 O
0.3331 0.3308 0.0370 O
0.3326 0.3405 0.9631 O
0.3419 0.6427 0.4591 O
0.3435 0.0097 0.5404 O
0.3447 0.7862 0.7880 O
0.3536 0.4082 0.7091 O
0.3550 0.2314 0.2898 O
0.3597 0.8839 0.2098 O
0.9848 0.0010 0.9082 O
```

=====

2.
For CaCo2O4, a PBE+U-relaxed structure gives the theoretical powder diffraction line list in this record (CuKα).
Peak positions follow from Bragg's law for the DFT cell and can differ from measured ones.

The 10 most intense peaks (10° ≤ 2θ ≤ 90°), sorted by position:
Position (°2θ), I/Imax
17.44, 32
29.01, 64
33.99, 49
34.51, 55
34.65, 45
34.82, 100
35.18, 31
41.87, 39
60.14, 67
61.88, 43

Cell and atoms:
```
CaCo2O4
1.0
5.3616 -3.0240 0.0000
5.3616 3.0240 0.0000
-0.4390 0.0000 14.7388
Ca Co O
6 12 24
Direct
0.0000 0.0000 0.0000 Ca
0.1634 0.1634 0.8285 Ca
0.3261 0.3261 0.2869 Ca
0.3285 0.3285 0.6587 Ca
0.5002 0.5002 0.4955 Ca
0.8294 0.8294 0.1625 Ca
0.0125 0.0125 0.3686 Co
0.1634 0.6641 0.8291 Co
0.3386 0.3386 0.0398 Co
0.3414 0.8240 0.1639 Co
0.5004 0.9879 0.4948 Co
0.6566 0.6566 0.9483 Co
0.6623 0.6623 0.3274 Co
0.6641 0.1634 0.8291 Co
0.6720 0.6720 0.7080 Co
0.8240 0.3414 0.1639 Co
0.9879 0.5004 0.4948 Co
0.9880 0.9880 0.6172 Co
0.0018 0.5255 0.7534 O
0.0193 0.0193 0.2352 O
0.1300 0.6632 0.5678 O
0.1532 0.1532 0.5648 O
0.1720 0.1720 0.0977 O
0.1958 0.6620 0.0912 O
0.3065 0.3065 0.4333 O
0.3252 0.8031 0.9053 O
0.3497 0.3497 0.9082 O
0.3753 0.8344 0.4057 O
0.4968 0.4968 0.7578 O
0.5012 0.9324 0.2494 O
0.5255 0.0018 0.7534 O
0.5246 0.5246 0.2386 O
0.6456 0.6456 0.0822 O
0.6620 0.1958 0.0912 O
0.6632 0.1300 0.5678 O
0.6817 0.6817 0.5753 O
0.8031 0.3252 0.9053 O
0.8090 0.8090 0.4144 O
0.8313 0.8313 0.9008 O
0.8344 0.3753 0.4057 O
0.9324 0.5012 0.2494 O
0.9769 0.9769 0.7506 O
```

=====

3.
For CaCoP2O7, a PBE+U-relaxed structure gives the theoretical powder diffraction line list in this record (CuKα).
Peak positions follow from Bragg's law for the DFT cell and can differ from measured ones.

The 10 most intense peaks (10° ≤ 2θ ≤ 90°), sorted by position:
Position (°2θ), I/Imax
19.30, 30
25.59, 14
27.54, 39
29.17, 85
29.22, 25
29.50, 29
30.45, 100
33.64, 17
41.14, 17
42.06, 19

Cell and atoms:
```
CaCoP2O7
1.0
6.3501 0.0000 0.0000
-2.4864 6.0990 0.0000
-0.0225 -0.8272 6.9625
Ca Co P O
2 2 4 14
Direct
0.2037 0.2341 0.3821 Ca
0.7963 0.7659 0.6179 Ca
0.2563 0.6338 0.8057 Co
0.7437 0.3662 0.1943 Co
0.2547 0.7223 0.3696 P
0.3361 0.1594 0.8772 P
0.6639 0.8406 0.1228 P
0.7453 0.2777 0.6304 P
0.0867 0.5061 0.2587 O
0.1479 0.8823 0.4482 O
0.1717 0.9171 0.8561 O
0.2608 0.3104 0.7686 O
0.3816 0.6556 0.5258 O
0.4154 0.2522 0.0885 O
0.4332 0.8502 0.2215 O
0.5668 0.1498 0.7785 O
0.5846 0.7478 0.9115 O
0.6184 0.3444 0.4742 O
0.7392 0.6896 0.2314 O
0.8283 0.0829 0.1439 O
0.8521 0.1177 0.5518 O
0.9133 0.4939 0.7413 O
```

=====

4.
For CaCoP2O7, a PBE+U-relaxed structure gives the theoretical powder diffraction line list in this record (CuKα).
Peak positions follow from Bragg's law for the DFT cell and can differ from measured ones.

The 10 most intense peaks (10° ≤ 2θ ≤ 90°), sorted by position:
Position (°2θ), I/Imax
16.00, 14
19.88, 11
27.42, 25
29.08, 100
31.20, 43
31.32, 43
34.49, 10
36.64, 10
41.59, 10
59.39, 14

Cell and atoms:
```
CaCoP2O7
1.0
6.5193 0.0000 0.0000
0.8548 6.5356 0.0000
0.3232 2.6834 6.1503
Ca Co P O
2 2 4 14
Direct
0.1427 0.2289 0.3263 Ca
0.8573 0.7711 0.6737 Ca
0.3516 0.4008 0.7242 Co
0.6484 0.5992 0.2758 Co
0.1434 0.7284 0.2513 P
0.3734 0.8575 0.8322 P
0.6266 0.1425 0.1678 P
0.8566 0.2716 0.7487 P
0.0255 0.3988 0.7803 O
0.0682 0.8837 0.3622 O
0.2226 0.8895 0.0204 O
0.2729 0.7059 0.7542 O
0.3288 0.5508 0.3669 O
0.3750 0.0975 0.6618 O
0.4118 0.2459 0.0629 O
0.5882 0.7541 0.9371 O
0.6250 0.9025 0.3382 O
0.6712 0.4492 0.6331 O
0.7271 0.2941 0.2458 O
0.7774 0.1105 0.9796 O
0.9318 0.1163 0.6378 O
0.9745 0.6012 0.2197 O
```

=====

> Number 4 is which compound?

CaCoP2O7